The following is a computed X-ray diffraction stick pattern of Ta3SnS6. It was derived from a GGA-PBE-relaxed structure, using Cu Kα.

Largest 6 diffraction maxima, by angle, 5° ≤ 2θ ≤ 70°:
7.358 Å, I = 100, (0 0 2); 3.679 Å, I = 21, (0 0 4); 2.905 Å, I = 47, (1 1 0); 2.702 Å, I = 38, (1 1 2); 2.280 Å, I = 87, (1 1 4); 1.677 Å, I = 22, (3 0 0)

```
data_Ta3SnS6
_chemical_formula_sum 'Ta6 Sn2 S12'
_cell_length_a 5.8094
_cell_length_b 5.8094
_cell_length_c 14.7151
_cell_angle_alpha 90.00
_cell_angle_beta 90.00
_cell_angle_gamma 120.00
_space_group_name_H-M_alt 'P 63/m c m'
_space_group_IT_number 193
_space_group_name_Hall '-P 6c 2'
loop_
_atom_site_label
_atom_site_type_symbol
_atom_site_fract_x
_atom_site_fract_y
_atom_site_fract_z
Ta1 Ta 0.0000 0.0000 0.2500
Ta2 Ta 0.3333 0.6667 0.2500
Sn1 Sn 0.0000 0.0000 0.0000
S1 S 0.0000 0.3354 0.1439
```

***

The following is a computed X-ray diffraction stick pattern of TmPu3. It was derived from a GGA-PBE-relaxed structure, using Cu Kα.

Largest 6 diffraction maxima, by angle, 5° ≤ 2θ ≤ 70°:
2.772 Å, I = 100, (1 1 2); 2.406 Å, I = 34, (2 0 0); 2.389 Å, I = 17, (0 0 4); 1.695 Å, I = 24, (2 0 4); 1.450 Å, I = 29, (3 1 2); 1.442 Å, I = 14, (1 1 6)

```
data_TmPu3
_chemical_formula_sum 'Tm2 Pu6'
_cell_length_a 4.812
_cell_length_b 4.812
_cell_length_c 9.556
_cell_angle_alpha 90.00
_cell_angle_beta 90.00
_cell_angle_gamma 90.00
_space_group_name_H-M_alt 'I 4/m m m'
_space_group_IT_number 139
_space_group_name_Hall '-I 4 2'
loop_
_atom_site_label
_atom_site_type_symbol
_atom_site_fract_x
_atom_site_fract_y
_atom_site_fract_z
Tm1 Tm 0.000 0.000 0.000
Pu1 Pu 0.000 0.000 0.500
Pu2 Pu 0.000 0.500 0.250
```

***

The following is a computed X-ray diffraction stick pattern of Hg. It was derived from a GGA-PBE-relaxed structure, using Cu Kα.

Largest 6 diffraction maxima, by angle, 5° ≤ 2θ ≤ 70°:
2.927 Å, I = 61, (1 1 0); 2.718 Å, I = 100, (1 0 1); 2.070 Å, I = 23, (2 0 0); 1.647 Å, I = 46, (2 1 1); 1.535 Å, I = 18, (1 1 2); 1.359 Å, I = 12, (2 0 2)

```
data_Hg
_chemical_formula_sum 'Hg2'
_cell_length_a 4.139
_cell_length_b 4.139
_cell_length_c 3.605
_cell_angle_alpha 90.00
_cell_angle_beta 90.00
_cell_angle_gamma 90.00
_space_group_name_H-M_alt 'I 4/m m m'
_space_group_IT_number 139
_space_group_name_Hall '-I 4 2'
loop_
_atom_site_label
_atom_site_type_symbol
_atom_site_fract_x
_atom_site_fract_y
_atom_site_fract_z
Hg1 Hg 0.000 0.000 0.000
```

***

The following is a computed X-ray diffraction stick pattern of InAgO2. It was derived from a GGA-PBE-relaxed structure, using Cu Kα.

Largest 6 diffraction maxima, by angle, 5° ≤ 2θ ≤ 70°:
3.143 Å, I = 49, (0 0 6); 2.818 Å, I = 100, (1 0 1); 2.274 Å, I = 40, (0 1 5); 1.958 Å, I = 50, (1 0 7); 1.646 Å, I = 33, (1 1 0); 1.458 Å, I = 29, (1 1 6)

```
data_InAgO2
_chemical_formula_sum 'In3 Ag3 O6'
_cell_length_a 3.2914
_cell_length_b 3.2914
_cell_length_c 18.8582
_cell_angle_alpha 90.00
_cell_angle_beta 90.00
_cell_angle_gamma 120.00
_space_group_name_H-M_alt 'R 3 m'
_space_group_IT_number 160
_space_group_name_Hall 'R 3 -2"'
loop_
_atom_site_label
_atom_site_type_symbol
_atom_site_fract_x
_atom_site_fract_y
_atom_site_fract_z
In1 In 0.0000 0.0000 0.0000
Ag1 Ag 0.0000 0.0000 0.8401
O1 O 0.0000 0.0000 0.2688
O2 O 0.0000 0.0000 0.7238
```

***

The following is a computed X-ray diffraction stick pattern of TaNiB2. It was derived from a GGA-PBE-relaxed structure, using Cu Kα.

Largest 6 diffraction maxima, by angle, 5° ≤ 2θ ≤ 70°:
3.387 Å, I = 61, (1 0 2); 2.832 Å, I = 43, (2 0 1); 2.622 Å, I = 32, (1 1 1); 2.292 Å, I = 100, (1 1 2); 2.167 Å, I = 45, (2 1 0); 2.046 Å, I = 33, (0 0 4)

```
data_TaNiB2
_chemical_formula_sum 'Ta4 Ni4 B8'
_cell_length_a 6.037
_cell_length_b 3.114
_cell_length_c 8.185
_cell_angle_alpha 90.00
_cell_angle_beta 90.00
_cell_angle_gamma 90.00
_space_group_name_H-M_alt 'P n m a'
_space_group_IT_number 62
loop_
_space_group_symop_operation_xyz
'x,y,z'
'-x,-y,-z'
'-x+1/2,-y,z+1/2'
'x+1/2,y,-z+1/2'
'x+1/2,-y+1/2,-z+1/2'
'-x+1/2,y+1/2,z+1/2'
'-x,y+1/2,-z'
'x,-y+1/2,z'
loop_
_atom_site_label
_atom_site_type_symbol
_atom_site_fract_x
_atom_site_fract_y
_atom_site_fract_z
Ta1 Ta 0.133 0.250 0.132
Ni1 Ni 0.001 0.250 0.616
B1 B 0.172 0.250 0.832
B2 B 0.242 0.250 0.424
```

***

The following is a computed X-ray diffraction stick pattern of Sr3Sb3N5. It was derived from a GGA-PBE-relaxed structure, using Cu Kα.

Largest 6 diffraction maxima, by angle, 5° ≤ 2θ ≤ 70°:
3.278 Å, I = 49, (1 -2 0); 3.232 Å, I = 100, (1 0 -3); 3.007 Å, I = 77, (2 0 0); 2.953 Å, I = 58, (1 2 0); 2.872 Å, I = 65, (1 0 3); 2.825 Å, I = 60, (0 2 -3)

```
data_Sr3Sb3N5
_chemical_formula_sum 'Sr6 Sb6 N10'
_cell_length_a 6.096
_cell_length_b 7.430
_cell_length_c 10.844
_cell_angle_alpha 100.93
_cell_angle_beta 96.56
_cell_angle_gamma 95.34
_space_group_name_H-M_alt 'P -1'
_space_group_IT_number 2
loop_
_space_group_symop_operation_xyz
'x,y,z'
'-x,-y,-z'
loop_
_atom_site_label
_atom_site_type_symbol
_atom_site_fract_x
_atom_site_fract_y
_atom_site_fract_z
Sr1 Sr 0.211 0.367 0.424
Sr2 Sr 0.225 0.872 0.029
Sr3 Sr 0.242 0.305 0.768
Sb1 Sb 0.218 0.420 0.112
Sb2 Sb 0.298 0.872 0.432
Sb3 Sb 0.325 0.769 0.735
N1 N 0.068 0.622 0.800
N2 N 0.201 0.695 0.545
N3 N 0.204 0.185 0.978
N4 N 0.356 0.131 0.552
N5 N 0.466 0.432 0.263
```

***

The following is a computed X-ray diffraction stick pattern of SbSI. It was derived from a GGA-PBE-relaxed structure, using Cu Kα.

Largest 6 diffraction maxima, by angle, 5° ≤ 2θ ≤ 70°:
8.068 Å, I = 42, (2 0 0); 6.118 Å, I = 43, (0 0 2); 5.721 Å, I = 100, (1 0 2); 3.006 Å, I = 28, (1 0 4); 2.718 Å, I = 36, (4 1 0); 2.653 Å, I = 31, (4 1 1)

```
data_SbSI
_chemical_formula_sum 'Sb4 S4 I4'
_cell_length_a 16.135
_cell_length_b 3.675
_cell_length_c 12.237
_cell_angle_alpha 90.00
_cell_angle_beta 90.00
_cell_angle_gamma 90.00
_space_group_name_H-M_alt 'P n m a'
_space_group_IT_number 62
loop_
_space_group_symop_operation_xyz
'x,y,z'
'-x,-y,-z'
'-x+1/2,-y,z+1/2'
'x+1/2,y,-z+1/2'
'x+1/2,-y+1/2,-z+1/2'
'-x+1/2,y+1/2,z+1/2'
'-x,y+1/2,-z'
'x,-y+1/2,z'
loop_
_atom_site_label
_atom_site_type_symbol
_atom_site_fract_x
_atom_site_fract_y
_atom_site_fract_z
Sb1 Sb 0.136 0.250 0.187
S1 S 0.076 0.750 0.071
I1 I 0.212 0.250 0.683
```

***

What did the sixth record say?
The following is a computed X-ray diffraction stick pattern of Sr3Sb3N5. It was derived from a GGA-PBE-relaxed structure, using Cu Kα.

Largest 6 diffraction maxima, by angle, 5° ≤ 2θ ≤ 70°:
3.278 Å, I = 49, (1 -2 0); 3.232 Å, I = 100, (1 0 -3); 3.007 Å, I = 77, (2 0 0); 2.953 Å, I = 58, (1 2 0); 2.872 Å, I = 65, (1 0 3); 2.825 Å, I = 60, (0 2 -3)

```
data_Sr3Sb3N5
_chemical_formula_sum 'Sr6 Sb6 N10'
_cell_length_a 6.096
_cell_length_b 7.430
_cell_length_c 10.844
_cell_angle_alpha 100.93
_cell_angle_beta 96.56
_cell_angle_gamma 95.34
_space_group_name_H-M_alt 'P -1'
_space_group_IT_number 2
loop_
_space_group_symop_operation_xyz
'x,y,z'
'-x,-y,-z'
loop_
_atom_site_label
_atom_site_type_symbol
_atom_site_fract_x
_atom_site_fract_y
_atom_site_fract_z
Sr1 Sr 0.211 0.367 0.424
Sr2 Sr 0.225 0.872 0.029
Sr3 Sr 0.242 0.305 0.768
Sb1 Sb 0.218 0.420 0.112
Sb2 Sb 0.298 0.872 0.432
Sb3 Sb 0.325 0.769 0.735
N1 N 0.068 0.622 0.800
N2 N 0.201 0.695 0.545
N3 N 0.204 0.185 0.978
N4 N 0.356 0.131 0.552
N5 N 0.466 0.432 0.263
```